Starting from a crystal structure in Alexandria, relaxed with PBE, the XRD peak list of B2C3 was computed for Cu Kα X-rays.
Lines closer than 0.1° are merged.

Most intense lines, 5° ≤ 2θ ≤ 70°, in order of rising 2θ:
8.7°, I 5
26.4°, I 2
35.4°, I 3
35.8°, I 1
38.0°, I 2
42.1°, I 100

Atomic structure:
Lattice parameters (Å, degrees): 10.2958 10.2958 10.2958 165.89 165.89 20.01
Positions (direct):
B 0.0000 0.0000 0.0000
B 0.2500 0.7500 0.5000
B 0.3979 0.3979 0.0000
B 0.6021 0.6021 0.0000
C 0.0518 0.5518 0.5000
C 0.1971 0.1971 0.0000
C 0.4482 0.9482 0.5000
C 0.6574 0.1574 0.5000
C 0.8029 0.8029 0.0000
C 0.8426 0.3426 0.5000

***

Starting from a crystal structure in Alexandria, relaxed with PBE, the XRD peak list of Li3InAg3 was computed for Cu Kα X-rays.
Lines closer than 0.1° are merged.

Most intense lines, 5° ≤ 2θ ≤ 70°, in order of rising 2θ:
14.4°, I 100
29.2°, I 94
38.8°, I 55
39.3°, I 50
40.2°, I 40
43.8°, I 45

Atomic structure:
Lattice parameters (Å, degrees): 7.3948 7.3948 7.3948 56.99 56.99 56.99
Positions (direct):
Li 0.0588 0.5791 0.2247
Li 0.2247 0.0588 0.5791
Li 0.4209 0.7753 0.9412
Li 0.5791 0.2247 0.0588
Li 0.7753 0.9412 0.4209
Li 0.9412 0.4209 0.7753
In 0.1577 0.1577 0.1577
In 0.8423 0.8423 0.8423
Ag 0.2046 0.6777 0.4248
Ag 0.3223 0.5752 0.7954
Ag 0.4248 0.2046 0.6777
Ag 0.5752 0.7954 0.3223
Ag 0.6777 0.4248 0.2046
Ag 0.7954 0.3223 0.5752

***

What did the first record say?
Starting from a crystal structure in Alexandria, relaxed with PBE, the XRD peak list of B2C3 was computed for Cu Kα X-rays.
Lines closer than 0.1° are merged.

Most intense lines, 5° ≤ 2θ ≤ 70°, in order of rising 2θ:
8.7°, I 5
26.4°, I 2
35.4°, I 3
35.8°, I 1
38.0°, I 2
42.1°, I 100

Atomic structure:
Lattice parameters (Å, degrees): 10.2958 10.2958 10.2958 165.89 165.89 20.01
Positions (direct):
B 0.0000 0.0000 0.0000
B 0.2500 0.7500 0.5000
B 0.3979 0.3979 0.0000
B 0.6021 0.6021 0.0000
C 0.0518 0.5518 0.5000
C 0.1971 0.1971 0.0000
C 0.4482 0.9482 0.5000
C 0.6574 0.1574 0.5000
C 0.8029 0.8029 0.0000
C 0.8426 0.3426 0.5000